Calculated X-ray diffraction stick pattern
Compound: Dy2HoMoO6
Radiation: Cu Kα (λ = 1.5418 Å)
Structure: DFT lattice parameters and positions (GGA+U)
Lines closer than 0.1° are merged.

Atomic structure:
Unit cell a=6.0032 b=6.0032 c=6.0032 alpha=56.91 beta=56.91 gamma=56.91
Fractional positions:
Dy  0.0000  0.0000  0.0000
Dy  0.4944  0.4944  0.4944
Ho  0.2798  0.2798  0.2798
Mo  0.7888  0.7888  0.7888
O  0.0792  0.4038  0.6747
O  0.1680  0.8953  0.5886
O  0.4038  0.6747  0.0792
O  0.5886  0.1680  0.8953
O  0.6747  0.0792  0.4038
O  0.8953  0.5886  0.1680

Principal peaks in the range 15° ≤ 2θ ≤ 90°, by intensity:
- d = 2.995 Å, I = 100
- d = 2.860 Å, I = 99
- d = 2.068 Å, I = 41
- d = 1.676 Å, I = 40
- d = 1.885 Å, I = 34
- d = 1.651 Å, I = 28
- d = 4.137 Å, I = 21
- d = 1.291 Å, I = 15
- d = 1.430 Å, I = 13
- d = 1.439 Å, I = 12